[1]
Diffraction record for LiBF6. The X-ray powder pattern is theoretical, not measured: it uses a cell relaxed with PBE and Cu Kα (λ = 1.5418 Å).
No peak broadening, texture or thermal motion is included.

Structural model:
```
8
Lattice="0.0000 3.6122 3.6122 3.6122 0.0000 3.6122 3.6122 3.6122 0.0000" Properties=species:S:1:pos:R:3 pbc="T T T"
Li 0.0000 0.0000 0.0000
B 3.6122 3.6122 3.6122
F 3.6122 3.6122 2.0264
F 3.6122 2.0264 3.6122
F 5.1981 3.6122 3.6122
F 2.0264 3.6122 3.6122
F 3.6122 5.1981 3.6122
F 3.6122 3.6122 5.1981
```

The 6 most intense peaks (2θ from 5° to 70°), by intensity:
Position (°2θ)  Rel. int.
24.65  100
43.39  70
50.53  47
21.30  44
57.01  16
67.35  15



[2]
Diffraction record for Ce4Sb8Au3. The X-ray powder pattern is theoretical, not measured: it uses a cell relaxed with PBE and Cu Kα (λ = 1.5418 Å).
No peak broadening, texture or thermal motion is included.

Structural model:
```
15
Lattice="4.4510 0.0000 0.0000 0.0000 4.4510 0.0000 0.0000 0.0000 19.8201" Properties=species:S:1:pos:R:3 pbc="T T T"
Ce 0.0000 2.2255 2.3600
Ce 0.0000 2.2255 12.4742
Ce 2.2255 0.0000 7.3459
Ce 2.2255 0.0000 17.4601
Sb 0.0000 0.0000 4.8518
Sb 0.0000 0.0000 14.9683
Sb 0.0000 2.2255 8.0264
Sb 0.0000 2.2255 18.1709
Sb 2.2255 0.0000 1.6492
Sb 2.2255 0.0000 11.7937
Sb 2.2255 2.2255 4.8608
Sb 2.2255 2.2255 14.9593
Au 0.0000 0.0000 0.0000
Au 0.0000 0.0000 9.9101
Au 2.2255 2.2255 9.9101
```

The 6 most intense peaks (2θ from 5° to 70°), by intensity:
Position (°2θ)  Rel. int.
33.74  100
40.54  34
69.42  24
55.50  14
8.92  13
36.26  12



[3]
Diffraction record for PmTm12Sn7. The X-ray powder pattern is theoretical, not measured: it uses a cell relaxed with PBE and Cu Kα (λ = 1.5418 Å).
No peak broadening, texture or thermal motion is included.

Structural model:
```
20
Lattice="7.5459 4.3566 2.9402 -7.5459 4.3566 2.9402 0.0000 -8.7133 2.9402" Properties=species:S:1:pos:R:3 pbc="T T T"
Pm 0.0000 0.0000 0.0000
Tm -2.0760 -5.1176 2.9402
Tm -5.4699 0.7609 2.9402
Tm -2.4768 -1.4300 3.4170
Tm 2.0760 -5.1176 2.9402
Tm -3.3940 4.3566 2.9402
Tm 2.4768 -1.4300 3.4170
Tm 0.0000 2.8599 3.4170
Tm 0.0000 -2.8599 5.4036
Tm -2.4768 1.4300 5.4036
Tm 5.4699 0.7609 2.9402
Tm 3.3940 4.3566 2.9402
Tm 2.4768 1.4300 5.4036
Sn 0.0000 -2.7273 2.1090
Sn -2.3619 1.3636 2.1090
Sn 2.3619 1.3636 2.1090
Sn 0.0000 0.0000 4.4103
Sn -2.3619 -1.3636 6.7116
Sn 2.3619 -1.3636 6.7116
Sn 0.0000 2.7273 6.7116
```

The 6 most intense peaks (2θ from 5° to 70°), by intensity:
Position (°2θ)  Rel. int.
31.96  100
35.70  79
36.88  68
29.15  53
53.28  33
64.91  27



[4]
Diffraction record for Pu12Mn2Ru5. The X-ray powder pattern is theoretical, not measured: it uses a cell relaxed with PBE and Cu Kα (λ = 1.5418 Å).
No peak broadening, texture or thermal motion is included.

Structural model:
```
19
Lattice="6.0071 -4.8473 0.0000 6.0071 4.8473 0.0000 -1.0008 0.0000 5.3282" Properties=species:S:1:pos:R:3 pbc="T T T"
Pu 0.4309 0.0000 1.8585
Pu 2.8006 2.1520 4.5007
Pu 4.1905 2.5433 2.5283
Pu 6.8228 2.5433 2.7999
Pu 3.7774 0.0000 5.2616
Pu 8.2128 2.1520 0.8274
Pu 2.8006 -2.1520 4.5007
Pu 7.2359 0.0000 0.0666
Pu 4.1905 -2.5433 2.5283
Pu 6.8228 -2.5433 2.7999
Pu 8.2128 -2.1520 0.8274
Pu 10.5824 0.0000 3.4697
Mn 6.0071 2.5902 0.0000
Mn 6.0071 -2.5902 0.0000
Ru 0.8612 0.0000 4.8920
Ru 2.8177 0.0000 2.3923
Ru 5.5067 0.0000 2.6641
Ru 8.1956 0.0000 2.9358
Ru 10.1522 0.0000 0.4362
```

The 6 most intense peaks (2θ from 5° to 70°), by intensity:
Position (°2θ)  Rel. int.
41.99  100
37.09  72
39.13  38
41.24  25
55.07  24
24.48  23



[5]
Diffraction record for Pr2ZnCu3Ge4. The X-ray powder pattern is theoretical, not measured: it uses a cell relaxed with PBE and Cu Kα (λ = 1.5418 Å).
No peak broadening, texture or thermal motion is included.

Structural model:
```
10
Lattice="4.2438 0.0000 0.0000 0.0000 4.2438 0.0000 0.0000 0.0000 10.2356" Properties=species:S:1:pos:R:3 pbc="T T T"
Pr 0.0000 2.1219 2.5544
Pr 2.1219 0.0000 7.6812
Zn 0.0000 0.0000 5.1178
Cu 0.0000 2.1219 8.9312
Cu 2.1219 0.0000 1.3044
Cu 2.1219 2.1219 5.1178
Ge 0.0000 0.0000 0.0000
Ge 0.0000 2.1219 6.5232
Ge 2.1219 0.0000 3.7124
Ge 2.1219 2.1219 0.0000
```

The 6 most intense peaks (2θ from 5° to 70°), by intensity:
Position (°2θ)  Rel. int.
34.65  100
33.71  62
42.61  58
55.40  29
49.43  28
67.27  21



[6]
Diffraction record for CaNd5Tm6. The X-ray powder pattern is theoretical, not measured: it uses a cell relaxed with PBE and Cu Kα (λ = 1.5418 Å).
No peak broadening, texture or thermal motion is included.

Structural model:
```
12
Lattice="5.9250 -5.3998 0.0000 5.9250 5.3998 0.0000 -1.0916 0.0000 6.1415" Properties=species:S:1:pos:R:3 pbc="T T T"
Ca 0.0000 0.0000 0.0000
Nd 5.3792 3.5735 3.0707
Nd 5.9250 1.7665 0.0000
Nd 5.3792 0.0000 3.0707
Nd 5.9250 -1.7665 0.0000
Nd 5.3792 -3.5735 3.0707
Tm 2.7332 1.8263 1.5581
Tm 2.1769 0.0000 4.5741
Tm 2.7332 -1.8263 1.5581
Tm 8.0253 1.8263 4.5834
Tm 8.5816 0.0000 1.5674
Tm 8.0253 -1.8263 4.5834
```

The 6 most intense peaks (2θ from 5° to 70°), by intensity:
Position (°2θ)  Rel. int.
30.43  100
35.35  67
30.65  33
60.43  28
50.71  24
51.00  24